Structure and computed XRD peak list of SrYAl3O7 (a structure optimized by DFT (GGA-PBE); Cu Kα).
No peak broadening, texture or thermal motion is included.

Peak list (6 most intense, 2θ from 5° to 70°, in order of rising 2θ)
(hkl)	Position (°2θ)	I (rel.)
2 2 1	28.5	39
1 3 1	30.6	100
3 1 1	30.9	87
3 1 2	43.6	20
2 4 2	50.8	32
4 2 2	51.1	21

Atomic structure:
```
data_SrYAl3O7
_cell_length_a 11.0057
_cell_length_b 11.2232
_cell_length_c 5.1745
_cell_angle_alpha 90.00
_cell_angle_beta 90.00
_cell_angle_gamma 90.00
_symmetry_space_group_name_H-M 'C m m 2'
_symmetry_Int_Tables_number 35
loop_
_symmetry_equiv_pos_as_xyz
'x,y,z'
'-x,-y,z'
'-x,y,z'
'x,-y,z'
'x+1/2,y+1/2,z'
'-x+1/2,-y+1/2,z'
'-x+1/2,y+1/2,z'
'x+1/2,-y+1/2,z'
loop_
_atom_site_label
_atom_site_type_symbol
_atom_site_fract_x
_atom_site_fract_y
_atom_site_fract_z
Sr1 Sr 0.0000 0.1619 0.0000
Y1 Y 0.1589 0.5000 0.9696
Al1 Al 0.0000 0.3602 0.4505
Al2 Al 0.1498 0.0000 0.5289
Al3 Al 0.2500 0.2500 0.4996
O1 O 0.0000 0.0000 0.6419
O2 O 0.0000 0.3745 0.7890
O3 O 0.0000 0.5000 0.2861
O4 O 0.1251 0.2886 0.3058
O5 O 0.1633 0.0000 0.1938
O6 O 0.2208 0.1217 0.6954
```